No. 1
The following is a theoretical powder XRD pattern of Ho4Er7Cd. It was derived from the PBE geometry in Alexandria, using Cu Ka.
Intensities are scaled so that the largest is 100.

Atomic structure:
Cell lengths 5.5055, 5.5055, 13.7414 Å; angles 90.00, 90.00, 120.00 degrees
Space group P-3m1 (No. 164)
Inequivalent atoms, fractional coordinates:
1 Ho 0.3333 0.6667 0.1851 (multiplicity 2)
2 Ho 0.3333 0.6667 0.4284 (multiplicity 2)
3 Er 0.0000 0.0000 0.2314 (multiplicity 2)
4 Er 0.0000 0.0000 0.5000 (multiplicity 1)
5 Er 0.3333 0.6667 0.6747 (multiplicity 2)
6 Er 0.3333 0.6667 0.9251 (multiplicity 2)
7 Cd 0.0000 0.0000 0.0000 (multiplicity 1)

Largest 10 diffraction maxima, low angle first, 10 to 90 degrees two-theta:
| Position (°2θ) | Rel. int. |
| --- | --- |
| 32.1 | 97 |
| 32.5 | 100 |
| 46.4 | 35 |
| 57.0 | 15 |
| 57.8 | 39 |
| 58.0 | 19 |
| 67.2 | 9 |
| 68.1 | 12 |
| 76.6 | 12 |
| 77.3 | 17 |



No. 2
The following is a theoretical powder XRD pattern of Ho3ErCd3. It was derived from the PBE geometry in Alexandria, using Cu Ka.
Intensities are scaled so that the largest is 100.

Atomic structure:
Cell lengths 10.620, 10.661, 6.874 Å; angles 90.00, 90.00, 90.00 degrees
Space group Cmmm (No. 65)
Inequivalent atoms, fractional coordinates:
1 Ho 0.000 0.205 0.000 (multiplicity 4)
2 Ho 0.203 0.000 0.500 (multiplicity 4)
3 Ho 0.238 0.500 0.000 (multiplicity 4)
4 Er 0.000 0.263 0.500 (multiplicity 4)
5 Cd 0.000 0.500 0.251 (multiplicity 4)
6 Cd 0.250 0.250 0.251 (multiplicity 8)

Largest 10 diffraction maxima, low angle first, 10 to 90 degrees two-theta:
| Position (°2θ) | Rel. int. |
| --- | --- |
| 23.7 | 10 |
| 29.6 | 18 |
| 33.6 | 26 |
| 33.8 | 25 |
| 35.4 | 100 |
| 48.4 | 14 |
| 51.8 | 12 |
| 61.3 | 13 |
| 61.4 | 13 |
| 64.6 | 17 |